Structure and theoretical X-ray powder pattern of CsB12O12 (DFT lattice parameters and positions (GGA-PBE); Cu Kα (weighted mean of Kα1 and Kα2)).

Cell and atoms:
```
data_CsB12O12
_cell_length_a 9.3297
_cell_length_b 9.3297
_cell_length_c 17.0108
_cell_angle_alpha 90.00
_cell_angle_beta 90.00
_cell_angle_gamma 120.00
_space_group_name_H-M_alt 'R -3 m'
_space_group_IT_number 166
_space_group_name_Hall '-R 3 2"'
loop_
_atom_site_label
_atom_site_type_symbol
_atom_site_fract_x
_atom_site_fract_y
_atom_site_fract_z
Cs1 Cs 0.0000 0.0000 0.0000
B1 B 0.0701 0.1402 0.6277
B2 B 0.1101 0.2203 0.4301
O1 O 0.0228 0.5114 0.8717
O2 O 0.0704 0.5352 0.3398
```

Principal peaks in the range 2θ = 15–90°, low angle first:
- 15.1 deg, rel. 100
- 15.6 deg, rel. 68
- 19.0 deg, rel. 40
- 22.6 deg, rel. 58
- 23.6 deg, rel. 30
- 24.7 deg, rel. 95
- 28.5 deg, rel. 51
- 29.7 deg, rel. 65
- 31.1 deg, rel. 77
- 36.2 deg, rel. 82
- 38.6 deg, rel. 45
- 39.7 deg, rel. 45